Structure and calculated powder X-ray diffraction pattern of BaSr2H8Ru (DFT lattice parameters and positions (PBE); Cu Kα X-rays).

Most intense lines, 2θ = 10–90°, in order of rising 2θ:
- d = 4.513 Å, I 41.7
- d = 3.831 Å, I 51.7
- d = 2.825 Å, I 100.0
- d = 2.605 Å, I 78.2
- d = 2.115 Å, I 18.3
- d = 1.915 Å, I 32.9
- d = 1.681 Å, I 24.5
- d = 1.543 Å, I 31.8
- d = 1.504 Å, I 14.1
- d = 1.242 Å, I 18.1

Cell and atoms:
Lattice parameters (Å, degrees): 5.2108 5.2108 7.2469 90.00 90.00 120.00
Positions (direct):
Ba1 0.0000 0.0000 0.0000
Sr1 0.3333 0.6667 0.3539
Sr2 0.6667 0.3333 0.6461
H1 0.1540 0.3081 0.6411
H2 0.1540 0.8460 0.6411
H3 0.3081 0.1540 0.3589
H4 0.3333 0.6667 0.0201
H5 0.6667 0.3333 0.9799
H6 0.6919 0.8460 0.6411
H7 0.8460 0.1540 0.3589
H8 0.8460 0.6919 0.3589
Ru1 0.0000 0.0000 0.5000